# LiAlGeO4
Theoretical powder diffractogram, CuKα. Input: a DFT-relaxed cell (GGA-PBE, Alexandria).

Cell and atoms:
Unit cell a=13.9536 b=13.9536 c=9.3110 alpha=90.00 beta=90.00 gamma=120.00
Space group R-3 (No. 148, hexagonal axes)
Unique sites:
1 Li 0.0202 0.8115 0.2402 (multiplicity 18)
2 Al 0.0125 0.8038 0.9194 (multiplicity 18)
3 Ge 0.0222 0.8047 0.5843 (multiplicity 18)
4 O 0.0002 0.3391 0.7600 (multiplicity 18)
5 O 0.0727 0.8708 0.7501 (multiplicity 18)
6 O 0.0962 0.8857 0.4307 (multiplicity 18)
7 O 0.0965 0.8783 0.0631 (multiplicity 18)

Most intense lines, 15° ≤ 2θ ≤ 90°, by angle:
2θ (°), intensity
21.67, 100
25.54, 54
31.55, 64
34.00, 64
48.94, 31
65.63, 34